# Te16Rh9
Simulated X-ray diffraction stick pattern, Cu Kα, 1.54184 Å. Input: a cell relaxed with GGA-PBE.
No peak broadening, texture or thermal motion is included.

Most intense lines, 5° ≤ 2θ ≤ 70°, in order of rising 2θ:
| two_theta | I_rel | hkl |
| --- | --- | --- |
| 15.99 | 27.7 | 1 0 1 |
| 30.34 | 67.3 | 1 0 -3 |
| 30.50 | 100.0 | 2 2 0 |
| 41.59 | 38.9 | 0 0 4 |
| 41.84 | 29.9 | 3 2 1 |
| 45.31 | 24.2 | 0 4 0 |
| 45.41 | 48.0 | 3 2 -3 |
| 55.51 | 19.2 | 1 4 -3 |
| 56.30 | 20.2 | 2 2 4 |
| 56.72 | 12.3 | 5 0 1 |

Structural model:
a = 8.819 Å, b = 8.006 Å, c = 8.906 Å
α = 90.00°, β = 102.54°, γ = 90.00°
Space group P2/m (No. 10)
One atom of each set of equivalent atoms:
Te (0.043, 0.245, 0.211) x4
Te (0.202, 0.500, 0.538) x2
Te (0.209, 0.000, 0.541) x2
Te (0.292, 0.500, 0.959) x2
Te (0.295, 0.000, 0.963) x2
Te (0.455, 0.249, 0.284) x4
Rh (0.000, 0.245, 0.500) x2
Rh (0.244, 0.500, 0.244) x2
Rh (0.249, 0.000, 0.255) x2
Rh (0.500, 0.256, 0.000) x2
Rh (0.500, 0.500, 0.500) x1

---

# B8O
Simulated X-ray diffraction stick pattern, Cu Kα, 1.54184 Å. Input: a cell relaxed with GGA-PBE.
No peak broadening, texture or thermal motion is included.

Most intense lines, 5° ≤ 2θ ≤ 70°, in order of rising 2θ:
| two_theta | I_rel | hkl |
| --- | --- | --- |
| 20.63 | 19.0 | 0 1 1 |
| 21.52 | 60.3 | 1 0 1 |
| 24.13 | 16.3 | 1 1 0 |
| 34.95 | 100.0 | 2 0 0 |
| 39.90 | 47.2 | 1 2 -1 |
| 40.04 | 23.3 | 1 0 -3 |
| 63.38 | 15.6 | 2 0 4 |
| 64.93 | 8.9 | 0 3 3 |
| 65.59 | 8.1 | 2 3 1 |
| 65.69 | 8.1 | 3 2 -1 |

Structural model:
a = 5.138 Å, b = 5.313 Å, c = 7.370 Å
α = 90.00°, β = 92.42°, γ = 90.00°
Space group Pm (No. 6)
One atom of each set of equivalent atoms:
B (0.000, 0.000, 0.000) x1
B (0.001, 0.260, 0.847) x2
B (0.267, 0.000, 0.582) x1
B (0.283, 0.262, 0.723) x2
B (0.306, 0.165, 0.955) x2
B (0.318, 0.500, 0.278) x1
B (0.475, 0.000, 0.786) x1
B (0.482, 0.331, 0.112) x2
B (0.512, 0.235, 0.340) x2
B (0.528, 0.500, 0.481) x1
B (0.771, 0.500, 0.079) x1
B (0.794, 0.218, 0.208) x2
B (0.804, 0.000, 0.785) x1
B (0.822, 0.330, 0.444) x2
B (0.975, 0.166, 0.616) x2
B (0.988, 0.500, 0.276) x1
O (0.389, 0.000, 0.402) x1
O (0.405, 0.500, 0.661) x1
O (0.886, 0.500, 0.901) x1

---

> Number 1 is which compound?

Te16Rh9